# 1
Computed powder XRD pattern
Compound: La4NdHo2Tm
Radiation: Cu Ka
Structure: DFT lattice parameters and positions (GGA-PBE)
Lines closer than 0.1° are merged.

```
data_La4NdHo2Tm
_chemical_formula_sum 'La4 Nd1 Ho2 Tm1'
_cell_length_a 5.9731
_cell_length_b 5.9731
_cell_length_c 7.7591
_cell_angle_alpha 90.00
_cell_angle_beta 90.00
_cell_angle_gamma 90.00
_symmetry_space_group_name_H-M 'P 4/m m m'
_symmetry_Int_Tables_number 123
_symmetry_space_group_name_Hall '-P 4 2'
loop_
_atom_site_label
_atom_site_fract_x
_atom_site_fract_y
_atom_site_fract_z
_atom_site_occupancy
La1 0.0000 0.5000 0.2413 1
Nd1 0.0000 0.0000 0.5000 1
Ho1 0.0000 0.0000 0.0000 1
Ho2 0.5000 0.5000 0.5000 1
Tm1 0.5000 0.5000 0.0000 1
```

Peak list (8 most intense, 10° ≤ 2θ ≤ 90°, in order of rising 2θ)
2θ 29.92, rel. 566
2θ 31.31, rel. 1000
2θ 42.82, rel. 213
2θ 53.99, rel. 431
2θ 56.58, rel. 184
2θ 65.32, rel. 119
2θ 86.86, rel. 114
2θ 88.98, rel. 107

# 2
Computed powder XRD pattern
Compound: ReCS
Radiation: Cu Ka
Structure: DFT lattice parameters and positions (GGA-PBE)
Lines closer than 0.1° are merged.

```
data_ReCS
_chemical_formula_sum 'Re4 C4 S4'
_cell_length_a 6.0211
_cell_length_b 9.4448
_cell_length_c 2.9752
_cell_angle_alpha 90.00
_cell_angle_beta 90.00
_cell_angle_gamma 90.00
_symmetry_space_group_name_H-M 'C 2 2 2'
_symmetry_Int_Tables_number 21
loop_
_symmetry_equiv_pos_as_xyz
'x,y,z'
'-x,-y,z'
'x,-y,-z'
'-x,y,-z'
'x+1/2,y+1/2,z'
'-x+1/2,-y+1/2,z'
'x+1/2,-y+1/2,-z'
'-x+1/2,y+1/2,-z'
loop_
_atom_site_label
_atom_site_fract_x
_atom_site_fract_y
_atom_site_fract_z
_atom_site_occupancy
Re1 0.2500 0.2500 0.0758 1
C1 0.0000 0.2662 0.5000 1
S1 0.1716 0.0000 0.0000 1
```

Peak list (8 most intense, 10° ≤ 2θ ≤ 90°, in order of rising 2θ)
2θ 18.79, rel. 1000
2θ 29.67, rel. 472
2θ 30.04, rel. 433
2θ 35.36, rel. 393
2θ 38.11, rel. 339
2θ 42.73, rel. 352
2θ 47.06, rel. 355
2θ 58.59, rel. 322

# 3
Computed powder XRD pattern
Compound: Ca6AcPd2
Radiation: Cu Ka
Structure: DFT lattice parameters and positions (GGA-PBE)
Lines closer than 0.1° are merged.

```
data_Ca6AcPd2
_chemical_formula_sum 'Ca12 Ac2 Pd4'
_cell_length_a 5.5357
_cell_length_b 9.9949
_cell_length_c 11.1208
_cell_angle_alpha 90.00
_cell_angle_beta 90.00
_cell_angle_gamma 90.00
_symmetry_space_group_name_H-M 'I m m m'
_symmetry_Int_Tables_number 71
_symmetry_space_group_name_Hall '-I 2 2'
loop_
_atom_site_label
_atom_site_fract_x
_atom_site_fract_y
_atom_site_fract_z
_atom_site_occupancy
Ca1 0.0000 0.1629 0.2042 1
Ca2 0.0000 0.3290 0.5000 1
Ac1 0.0000 0.5000 0.0000 1
Pd1 0.0000 0.5000 0.2755 1
```

Peak list (8 most intense, 10° ≤ 2θ ≤ 90°, in order of rising 2θ)
2θ 17.75, rel. 337
2θ 18.32, rel. 1000
2θ 25.31, rel. 268
2θ 25.63, rel. 360
2θ 31.34, rel. 488
2θ 32.34, rel. 395
2θ 34.20, rel. 515
2θ 37.29, rel. 356

# 4
Computed powder XRD pattern
Compound: KPu3Tl4O12
Radiation: Cu Ka
Structure: DFT lattice parameters and positions (GGA-PBE)
Lines closer than 0.1° are merged.

```
data_KPu3Tl4O12
_chemical_formula_sum 'K2 Pu6 Tl8 O24'
_cell_length_a 8.8227
_cell_length_b 8.8227
_cell_length_c 8.8227
_cell_angle_alpha 90.00
_cell_angle_beta 90.00
_cell_angle_gamma 90.00
_symmetry_space_group_name_H-M 'I m -3 m'
_symmetry_Int_Tables_number 229
_symmetry_space_group_name_Hall '-I 4 2 3'
loop_
_atom_site_label
_atom_site_fract_x
_atom_site_fract_y
_atom_site_fract_z
_atom_site_occupancy
K1 0.0000 0.0000 0.0000 1
Pu1 0.0000 0.0000 0.5000 1
Tl1 0.2500 0.2500 0.2500 1
O1 0.0000 0.0000 0.2894 1
O2 0.0000 0.2500 0.5000 1
```

Peak list (8 most intense, 10° ≤ 2θ ≤ 90°, in order of rising 2θ)
2θ 14.20, rel. 100
2θ 28.62, rel. 1000
2θ 40.92, rel. 262
2θ 50.69, rel. 423
2θ 59.25, rel. 172
2θ 67.10, rel. 195
2θ 74.51, rel. 57
2θ 81.67, rel. 228

# 5
Computed powder XRD pattern
Compound: Cs2Li2USe4
Radiation: Cu Ka
Structure: DFT lattice parameters and positions (GGA-PBE)
Lines closer than 0.1° are merged.

```
data_Cs2Li2USe4
_chemical_formula_sum 'Cs4 Li4 U2 Se8'
_cell_length_a 15.8165
_cell_length_b 4.3533
_cell_length_c 8.3209
_cell_angle_alpha 90.00
_cell_angle_beta 108.89
_cell_angle_gamma 90.00
_symmetry_space_group_name_H-M 'C 1 2/m 1'
_symmetry_Int_Tables_number 12
loop_
_symmetry_equiv_pos_as_xyz
'x,y,z'
'-x,-y,-z'
'-x,y,-z'
'x,-y,z'
'x+1/2,y+1/2,z'
'-x+1/2,-y+1/2,-z'
'-x+1/2,y+1/2,-z'
'x+1/2,-y+1/2,z'
loop_
_atom_site_label
_atom_site_fract_x
_atom_site_fract_y
_atom_site_fract_z
_atom_site_occupancy
Cs1 0.1388 0.0000 0.0659 1
Li1 0.1795 0.5000 0.4853 1
U1 0.0000 0.0000 0.5000 1
Se1 0.0166 0.5000 0.2829 1
Se2 0.1891 0.0000 0.6505 1
```

Peak list (8 most intense, 10° ≤ 2θ ≤ 90°, in order of rising 2θ)
2θ 11.83, rel. 331
2θ 21.26, rel. 328
2θ 21.85, rel. 242
2θ 27.10, rel. 271
2θ 29.57, rel. 360
2θ 29.74, rel. 1000
2θ 35.11, rel. 272
2θ 46.22, rel. 236

# 6
Computed powder XRD pattern
Compound: CaPaOsO6
Radiation: Cu Ka
Structure: DFT lattice parameters and positions (GGA-PBE)
Lines closer than 0.1° are merged.

```
data_CaPaOsO6
_chemical_formula_sum 'Ca2 Pa2 Os2 O12'
_cell_length_a 5.5371
_cell_length_b 5.5371
_cell_length_c 9.9032
_cell_angle_alpha 90.00
_cell_angle_beta 90.00
_cell_angle_gamma 120.00
_symmetry_space_group_name_H-M 'P -3 1 c'
_symmetry_Int_Tables_number 163
_symmetry_space_group_name_Hall '-P 3 2c'
loop_
_atom_site_label
_atom_site_fract_x
_atom_site_fract_y
_atom_site_fract_z
_atom_site_occupancy
Ca1 0.0000 0.0000 0.0000 1
Pa1 0.3333 0.6667 0.2500 1
Os1 0.3333 0.6667 0.7500 1
O1 0.0270 0.3706 0.6401 1
```

Peak list (8 most intense, 10° ≤ 2θ ≤ 90°, in order of rising 2θ)
2θ 17.91, rel. 943
2θ 18.50, rel. 507
2θ 25.86, rel. 1000
2θ 32.34, rel. 740
2θ 37.21, rel. 849
2θ 41.86, rel. 268
2θ 49.38, rel. 679
2θ 53.87, rel. 263

Question: What is the formula in the sixth record?
Answer: CaPaOsO6